1.
The following is a theoretical powder diffraction line list of Mn2ZnIr. It was derived from a cell relaxed with GGA-PBE, using a wavelength of 1.5418 Å.
Peak positions follow from Bragg's law for the DFT cell and can differ from measured ones.

The 12 most intense peaks (10 to 90 degrees two-theta), in order of rising 2θ:
16.47 deg, I 573, (0 0 1)
24.75 deg, I 177, (0 1 0)
29.88 deg, I 289, (0 1 1)
35.80 deg, I 183, (1 0 1)
40.52 deg, I 1000, (1 1 0)
41.92 deg, I 906, (0 1 2)
44.01 deg, I 210, (1 1 1)
46.53 deg, I 666, (1 0 2)
50.77 deg, I 256, (0 2 0)
71.31 deg, I 357, (1 2 2)
81.23 deg, I 248, (2 1 2)
84.03 deg, I 228, (1 1 4)

Cell and atoms:
```
data_Mn2ZnIr
_chemical_formula_sum 'Mn2 Zn1 Ir1'
_cell_length_a 2.835
_cell_length_b 3.597
_cell_length_c 5.383
_cell_angle_alpha 90.00
_cell_angle_beta 90.00
_cell_angle_gamma 90.00
_space_group_name_H-M_alt 'P m m 2'
_space_group_IT_number 25
_space_group_name_Hall 'P 2 -2'
loop_
_atom_site_label
_atom_site_type_symbol
_atom_site_fract_x
_atom_site_fract_y
_atom_site_fract_z
_atom_site_occupancy
Mn1 Mn 0.000 0.000 0.000 1
Mn2 Mn 0.500 0.500 0.246 1
Zn1 Zn 0.000 0.000 0.498 1
Ir1 Ir 0.500 0.500 0.745 1
```

=====

2.
The following is a theoretical powder diffraction line list of Ca5Te4N. It was derived from a cell relaxed with GGA-PBE, using a wavelength of 1.5418 Å.
Peak positions follow from Bragg's law for the DFT cell and can differ from measured ones.

The 12 most intense peaks (10 to 90 degrees two-theta), in order of rising 2θ:
25.07 deg, I 751, (1 2 1)
28.25 deg, I 582, (0 0 2)
29.41 deg, I 1000, (3 1 0)
31.33 deg, I 213, (3 0 1)
36.62 deg, I 181, (2 3 1)
41.24 deg, I 752, (3 1 2)
42.08 deg, I 283, (2 4 0)
48.12 deg, I 154, (1 2 3)
49.61 deg, I 337, (4 3 1)
51.46 deg, I 293, (2 4 2)
65.81 deg, I 162, (4 3 3)
66.75 deg, I 157, (3 1 4)

Cell and atoms:
```
data_Ca5Te4N
_chemical_formula_sum 'Ca10 Te8 N2'
_cell_length_a 9.603
_cell_length_b 9.603
_cell_length_c 6.319
_cell_angle_alpha 90.00
_cell_angle_beta 90.00
_cell_angle_gamma 90.00
_space_group_name_H-M_alt 'I 4'
_space_group_IT_number 79
_space_group_name_Hall 'I 4'
loop_
_atom_site_label
_atom_site_type_symbol
_atom_site_fract_x
_atom_site_fract_y
_atom_site_fract_z
_atom_site_occupancy
Ca1 Ca 0.000 0.000 0.000 1
Ca2 Ca 0.086 0.757 0.580 1
Te1 Te 0.086 0.693 0.083 1
N1 N 0.000 0.000 0.628 1
```